1.
The following is a simulated powder X-ray diffraction pattern of ZnCr4S8. It was derived from a structure optimized by DFT (GGA-PBE), using λ = 1.5418 Å (Cu Kα).
Peak positions follow from Bragg's law for the DFT cell and can differ from measured ones.

Atomic structure:
```
ZnCr4S8
1.0
3.466 2.001 5.682
-3.466 2.001 5.682
0.000 -4.003 5.682
Zn Cr S
1 4 8
Cartesian
0.000 0.000 0.000 Zn
-1.733 -1.001 5.682 Cr
-1.733 1.001 11.365 Cr
0.000 2.001 5.682 Cr
0.000 0.000 8.524 Cr
0.000 -1.904 7.049 S
-1.649 0.952 7.049 S
0.000 0.000 4.388 S
-1.649 -0.952 9.998 S
1.649 0.952 7.049 S
0.000 0.000 12.660 S
1.649 -0.952 9.998 S
0.000 1.904 9.998 S
```

Largest 8 diffraction maxima, low angle first, 2θ = 10–90°:
| 2θ (°) | I (rel.) |
| --- | --- |
| 15.60 | 492 |
| 30.23 | 188 |
| 36.62 | 1000 |
| 52.68 | 309 |
| 52.82 | 310 |
| 65.99 | 148 |
| 89.12 | 127 |
| 89.36 | 129 |

=====

2.
The following is a simulated powder X-ray diffraction pattern of TiNiGe. It was derived from a structure optimized by DFT (GGA-PBE), using λ = 1.5418 Å (Cu Kα).
Peak positions follow from Bragg's law for the DFT cell and can differ from measured ones.

Atomic structure:
```
TiNiGe
1.0
6.256 0.000 0.000
0.000 3.747 0.000
0.000 0.000 7.167
Ti Ni Ge
4 4 4
Cartesian
0.164 0.937 1.335 Ti
2.964 2.810 4.918 Ti
3.292 0.937 2.248 Ti
6.092 2.810 5.831 Ti
0.867 0.937 4.009 Ni
2.261 2.810 0.426 Ni
3.995 0.937 6.741 Ni
5.389 2.810 3.157 Ni
1.521 2.810 2.712 Ge
1.607 0.937 6.295 Ge
4.649 2.810 0.872 Ge
4.734 0.937 4.455 Ge
```

Largest 8 diffraction maxima, low angle first, 2θ = 10–90°:
| 2θ (°) | I (rel.) |
| --- | --- |
| 37.45 | 333 |
| 37.59 | 523 |
| 39.58 | 1000 |
| 45.00 | 636 |
| 47.41 | 385 |
| 48.59 | 503 |
| 50.65 | 325 |
| 51.77 | 277 |

=====

3.
The following is a simulated powder X-ray diffraction pattern of Mg3Sb. It was derived from a structure optimized by DFT (GGA-PBE), using λ = 1.5418 Å (Cu Kα).
Peak positions follow from Bragg's law for the DFT cell and can differ from measured ones.

Atomic structure:
```
Mg3Sb
1.0
6.259 0.000 0.000
-3.129 5.420 0.000
0.000 0.000 5.440
Mg Sb
6 2
Cartesian
0.000 1.784 1.360 Mg
-1.584 4.528 1.360 Mg
1.545 0.892 4.080 Mg
1.584 4.528 1.360 Mg
4.714 0.892 4.080 Mg
3.129 3.636 4.080 Mg
0.000 3.613 4.080 Sb
3.129 1.807 1.360 Sb
```

Largest 8 diffraction maxima, low angle first, 2θ = 10–90°:
| 2θ (°) | I (rel.) |
| --- | --- |
| 16.35 | 257 |
| 23.17 | 735 |
| 28.52 | 288 |
| 32.93 | 287 |
| 37.06 | 1000 |
| 47.39 | 357 |
| 61.56 | 267 |
| 69.26 | 253 |

=====

4.
The following is a simulated powder X-ray diffraction pattern of Zr2N2O. It was derived from a structure optimized by DFT (GGA-PBE), using λ = 1.5418 Å (Cu Kα).
Peak positions follow from Bragg's law for the DFT cell and can differ from measured ones.

Atomic structure:
```
Zr2N2O
1.0
4.854 -2.765 0.000
4.854 2.765 0.000
-3.336 0.000 9.899
Zr N O
8 8 4
Cartesian
0.019 0.000 1.606 Zr
-0.013 -0.026 5.823 Zr
-0.223 -0.028 9.037 Zr
3.135 -0.077 3.349 Zr
3.238 -0.077 6.550 Zr
6.595 -0.028 0.863 Zr
6.385 -0.026 4.076 Zr
6.353 0.000 8.293 Zr
1.561 1.178 2.484 N
1.423 -0.792 0.027 N
1.738 -0.752 4.895 N
4.811 1.178 7.416 N
3.034 -1.901 2.411 N
4.634 -0.752 5.004 N
3.338 -1.901 7.489 N
4.949 -0.792 9.872 N
3.186 1.769 4.950 O
1.432 0.892 7.349 O
4.940 0.892 2.551 O
4.854 -1.044 0.000 O
```

Largest 8 diffraction maxima, low angle first, 2θ = 10–90°:
| 2θ (°) | I (rel.) |
| --- | --- |
| 30.35 | 1000 |
| 30.46 | 462 |
| 32.05 | 834 |
| 32.38 | 419 |
| 44.39 | 194 |
| 45.05 | 368 |
| 49.42 | 309 |
| 57.54 | 257 |

=====

5.
The following is a simulated powder X-ray diffraction pattern of MoS2. It was derived from a structure optimized by DFT (GGA-PBE), using λ = 1.5418 Å (Cu Kα).
Peak positions follow from Bragg's law for the DFT cell and can differ from measured ones.

Atomic structure:
```
MoS2
1.0
0.000 4.800 4.800
4.800 0.000 4.800
4.800 4.800 0.000
Mo S
4 8
Cartesian
3.755 3.755 3.755 Mo
5.844 5.844 3.755 Mo
5.844 3.755 5.844 Mo
3.755 5.844 5.844 Mo
6.096 3.503 3.503 S
1.263 1.263 1.263 S
3.537 3.537 1.263 S
3.537 1.263 3.537 S
1.263 3.537 3.537 S
3.503 6.096 3.503 S
3.503 3.503 6.096 S
6.096 6.096 6.096 S
```

Largest 8 diffraction maxima, low angle first, 2θ = 10–90°:
| 2θ (°) | I (rel.) |
| --- | --- |
| 15.99 | 1000 |
| 30.90 | 458 |
| 37.48 | 800 |
| 40.98 | 293 |
| 46.34 | 183 |
| 49.33 | 286 |
| 54.04 | 458 |
| 67.62 | 136 |

=====

6.
The following is a simulated powder X-ray diffraction pattern of CdTePb6O10. It was derived from a structure optimized by DFT (GGA-PBE), using λ = 1.5418 Å (Cu Kα).
Peak positions follow from Bragg's law for the DFT cell and can differ from measured ones.

Atomic structure:
```
CdTePb6O10
1.0
4.654 -5.877 0.000
4.654 5.877 0.000
0.000 0.000 11.516
Cd Te Pb O
2 2 12 20
Cartesian
4.654 4.963 8.637 Cd
4.654 -4.963 2.879 Cd
1.627 0.000 0.000 Te
7.682 0.000 5.758 Te
2.712 3.361 2.996 Pb
1.873 0.000 5.758 Pb
4.604 2.586 11.342 Pb
4.705 2.586 5.932 Pb
6.597 3.361 2.762 Pb
4.654 0.098 2.879 Pb
4.654 -0.098 8.637 Pb
2.712 -3.361 8.520 Pb
4.604 -2.586 0.174 Pb
4.705 -2.586 5.584 Pb
7.436 0.000 0.000 Pb
6.597 -3.361 8.754 Pb
3.254 3.859 10.043 O
1.582 1.653 1.070 O
4.484 5.151 4.579 O
4.825 5.151 1.179 O
2.957 0.814 10.306 O
3.465 1.405 7.493 O
1.582 -1.653 10.446 O
6.054 3.859 7.231 O
2.957 -0.814 1.210 O
3.465 -1.405 4.023 O
5.844 1.405 9.781 O
6.352 0.814 6.968 O
3.254 -3.859 1.473 O
7.727 1.653 4.688 O
5.844 -1.405 1.735 O
6.352 -0.814 4.548 O
4.484 -5.151 6.937 O
4.825 -5.151 10.337 O
7.727 -1.653 6.828 O
6.054 -3.859 4.285 O
```

Largest 8 diffraction maxima, low angle first, 2θ = 10–90°:
| 2θ (°) | I (rel.) |
| --- | --- |
| 28.97 | 1000 |
| 29.19 | 234 |
| 30.42 | 140 |
| 31.06 | 241 |
| 44.03 | 132 |
| 48.59 | 128 |
| 53.98 | 164 |
| 58.80 | 116 |